This entry pairs a crystal structure of Nd14ErTl with its simulated PXRD pattern. Radiation: Cu Kα X-rays. Structure: a crystal structure in Alexandria, relaxed with GGA-PBE.

```
Nd14ErTl
1.0
10.3392 0.0000 0.0000
0.0000 5.1254 5.1249
0.0000 -5.1254 5.1249
Nd Er Tl
14 1 1
direct
0.0000 0.0000 0.0000
0.0000 0.0000 0.4992
0.0000 0.4992 0.0000
0.0000 0.4995 0.4995
0.2542 0.7488 0.7488
0.2548 0.2504 0.7488
0.2554 0.2507 0.2507
0.2548 0.7488 0.2504
0.5000 0.5001 0.9984
0.5000 0.9984 0.5001
0.7452 0.2504 0.7488
0.7446 0.2507 0.2507
0.7452 0.7488 0.2504
0.7458 0.7488 0.7488
0.5000 0.9996 0.9996
0.5000 0.4996 0.4996
```

The 6 most intense peaks (10° ≤ 2θ ≤ 90°), sorted by position:
two_theta  d_spacing  I (rel.)
30.12  2.967  100
34.71  2.585  17
35.02  2.563  34
50.13  1.820  24
59.39  1.556  14
59.80  1.546  29

This entry pairs a crystal structure of NdEr2TmTl2 with its simulated PXRD pattern. Radiation: Cu Kα X-rays. Structure: a crystal structure in Alexandria, relaxed with GGA-PBE.

```
NdEr2TmTl2
1.0
5.1104 0.0000 0.0000
0.0000 9.9709 0.0000
0.0000 0.0000 6.8163
Nd Er Tm Tl
2 4 2 4
direct
0.0000 0.0426 0.0000
0.0000 0.9574 0.5000
0.0000 0.3182 0.3798
0.0000 0.6818 0.8798
0.5000 0.4555 0.0918
0.5000 0.5445 0.5918
0.5000 0.1937 0.7196
0.5000 0.8063 0.2196
0.0000 0.3671 0.8388
0.0000 0.6329 0.3388
0.5000 0.1382 0.2634
0.5000 0.8618 0.7634
```

The 6 most intense peaks (10° ≤ 2θ ≤ 90°), sorted by position:
two_theta  d_spacing  I (rel.)
31.55  2.835  58
32.13  2.786  100
32.84  2.727  80
34.78  2.579  35
35.12  2.555  60
37.81  2.379  25

This entry pairs a crystal structure of NdErTm2Tl2 with its simulated PXRD pattern. Radiation: Cu Kα X-rays. Structure: a crystal structure in Alexandria, relaxed with GGA-PBE.

```
NdErTm2Tl2
1.0
5.1059 0.0000 0.0000
0.0000 9.9749 0.0000
0.0000 0.0000 6.7915
Nd Er Tm Tl
2 2 4 4
direct
0.0000 0.0415 0.0000
0.0000 0.9585 0.5000
0.5000 0.1937 0.7211
0.5000 0.8063 0.2211
0.0000 0.3186 0.3792
0.0000 0.6814 0.8792
0.5000 0.4567 0.0920
0.5000 0.5433 0.5920
0.0000 0.3684 0.8392
0.0000 0.6316 0.3392
0.5000 0.1406 0.2620
0.5000 0.8594 0.7620
```

The 6 most intense peaks (10° ≤ 2θ ≤ 90°), sorted by position:
two_theta  d_spacing  I (rel.)
31.64  2.828  57
32.12  2.786  100
32.93  2.720  78
34.80  2.578  33
35.15  2.553  59
37.87  2.376  25

This entry pairs a crystal structure of Nd3Er8Tm2 with its simulated PXRD pattern. Radiation: Cu Kα X-rays. Structure: a crystal structure in Alexandria, relaxed with GGA-PBE.

```
Nd3Er8Tm2
1.0
9.9304 -3.8493 0.0000
9.9304 3.8493 0.0000
-0.0021 0.0000 5.6052
Nd Er Tm
3 8 2
direct
0.0000 0.0000 0.0000
0.2929 0.7071 0.5000
0.7071 0.2929 0.5000
0.1357 0.1357 0.4998
0.1812 0.5982 0.9998
0.3272 0.3272 0.4995
0.4018 0.8188 0.0002
0.5982 0.1812 0.9998
0.6728 0.6728 0.5005
0.8188 0.4018 0.0002
0.8643 0.8643 0.5002
0.2409 0.2409 0.9994
0.7591 0.7591 0.0006
```

The 6 most intense peaks (10° ≤ 2θ ≤ 90°), sorted by position:
two_theta  d_spacing  I (rel.)
24.81  3.589  23
29.91  2.987  33
31.39  2.850  33
31.93  2.803  43
33.52  2.674  100
57.92  1.592  21

This entry pairs a crystal structure of Nd3Er3Tm2 with its simulated PXRD pattern. Radiation: Cu Kα X-rays. Structure: a crystal structure in Alexandria, relaxed with GGA-PBE.

```
Nd3Er3Tm2
1.0
16.3071 0.0000 0.0000
0.0000 5.6761 0.0000
-2.0554 0.0000 5.6174
Nd Er Tm
6 6 4
direct
0.0000 0.0000 0.0000
0.1357 0.0000 0.6993
0.3643 0.5000 0.3007
0.5000 0.5000 0.0000
0.6357 0.5000 0.6993
0.8643 0.0000 0.3007
0.0000 0.5000 0.5000
0.1334 0.5000 0.0823
0.3666 0.0000 0.9177
0.5000 0.0000 0.5000
0.6334 0.0000 0.0823
0.8666 0.5000 0.9177
0.2498 0.0000 0.3182
0.2502 0.5000 0.6818
0.7502 0.0000 0.6818
0.7498 0.5000 0.3182
```

The 6 most intense peaks (10° ≤ 2θ ≤ 90°), sorted by position:
two_theta  d_spacing  I (rel.)
29.88  2.990  42
31.52  2.838  59
31.64  2.828  100
32.20  2.780  98
34.27  2.616  23
43.99  2.058  29

This entry pairs a crystal structure of NdEr7Tm2 with its simulated PXRD pattern. Radiation: Cu Kα X-rays. Structure: a crystal structure in Alexandria, relaxed with GGA-PBE.

```
NdEr7Tm2
1.0
5.3768 0.0000 0.0000
-0.0070 6.9694 0.0000
-2.6816 -3.4771 8.2681
Nd Er Tm
1 7 2
direct
0.0000 0.0000 0.0000
0.0000 0.5000 0.0000
0.2008 0.2009 0.4015
0.3892 0.1409 0.7785
0.3892 0.6368 0.7785
0.6108 0.3632 0.2215
0.6108 0.8591 0.2215
0.7992 0.7991 0.5985
0.1995 0.6995 0.3987
0.8005 0.3005 0.6013
```

The 6 most intense peaks (10° ≤ 2θ ≤ 90°), sorted by position:
two_theta  d_spacing  I (rel.)
31.06  2.880  87
31.77  2.817  100
33.33  2.688  46
33.64  2.664  43
34.73  2.583  19
62.70  1.482  30

This entry pairs a crystal structure of Nd3Er7Tm with its simulated PXRD pattern. Radiation: Cu Kα X-rays. Structure: a crystal structure in Alexandria, relaxed with GGA-PBE.

```
Nd3Er7Tm
1.0
6.9149 0.0000 0.0000
0.0000 5.4841 0.0000
-3.2177 0.0000 9.4178
Nd Er Tm
3 7 1
direct
0.0000 0.0000 0.0000
0.2795 0.5000 0.4938
0.7205 0.5000 0.5062
0.0000 0.0000 0.5000
0.1516 0.5000 0.7891
0.3209 0.5000 0.1355
0.4289 0.0000 0.3291
0.5711 0.0000 0.6709
0.6791 0.5000 0.8645
0.8484 0.5000 0.2109
0.5000 0.0000 0.0000
```

The 6 most intense peaks (10° ≤ 2θ ≤ 90°), sorted by position:
two_theta  d_spacing  I (rel.)
31.33  2.855  25
31.85  2.810  100
32.25  2.776  49
32.66  2.742  58
32.87  2.724  59
63.64  1.462  20

This entry pairs a crystal structure of Nd4Er8Tm with its simulated PXRD pattern. Radiation: Cu Kα X-rays. Structure: a crystal structure in Alexandria, relaxed with GGA-PBE.

```
Nd4Er8Tm
1.0
5.4941 3.1720 4.4756
-5.4941 3.1720 4.4756
0.0000 -6.3441 4.4756
Nd Er Tm
4 8 1
direct
0.0000 0.0000 0.0000
0.0000 0.5000 0.5000
0.5000 0.0000 0.5000
0.5000 0.5000 0.0000
0.2406 0.2406 0.2406
0.2405 0.2405 0.7585
0.2405 0.7585 0.2405
0.2415 0.7595 0.7595
0.7585 0.2405 0.2405
0.7595 0.2415 0.7595
0.7595 0.7595 0.2415
0.7594 0.7594 0.7594
0.5000 0.5000 0.5000
```

The 6 most intense peaks (10° ≤ 2θ ≤ 90°), sorted by position:
two_theta  d_spacing  I (rel.)
19.81  4.482  9
22.91  3.882  9
32.62  2.745  100
46.80  1.941  18
58.19  1.585  28
77.81  1.228  15

This entry pairs a crystal structure of Nd6ErTm4 with its simulated PXRD pattern. Radiation: Cu Kα X-rays. Structure: a crystal structure in Alexandria, relaxed with GGA-PBE.

```
Nd6ErTm4
1.0
11.0293 0.0000 0.0000
-5.5146 9.5516 0.0000
0.0000 0.0000 3.5517
Nd Er Tm
6 1 4
direct
0.1816 0.3631 0.0000
0.1816 0.8184 0.0000
0.5248 0.0496 0.5000
0.5248 0.4752 0.5000
0.6369 0.8184 0.0000
0.9504 0.4752 0.5000
0.0000 0.0000 0.5000
0.3156 0.1578 0.0000
0.3333 0.6667 0.5000
0.8422 0.1578 0.0000
0.8422 0.6844 0.0000
```

The 6 most intense peaks (10° ≤ 2θ ≤ 90°), sorted by position:
two_theta  d_spacing  I (rel.)
29.92  2.986  28
31.39  2.850  82
32.47  2.757  100
35.45  2.532  31
45.79  1.982  21
62.18  1.493  31

This entry pairs a crystal structure of NdEr2Tm5 with its simulated PXRD pattern. Radiation: Cu Kα X-rays. Structure: a crystal structure in Alexandria, relaxed with GGA-PBE.

```
NdEr2Tm5
1.0
5.7008 0.0000 0.0000
-2.3618 8.0550 0.0000
-0.0025 -0.0050 11.0659
Nd Er Tm
2 4 10
direct
0.0054 0.3459 0.2498
0.9946 0.6541 0.7502
0.3839 0.4632 0.8844
0.3848 0.4634 0.6158
0.6152 0.5366 0.3842
0.6161 0.5368 0.1156
0.1693 0.7109 0.4226
0.1701 0.7112 0.0778
0.2698 0.0833 0.7499
0.3012 0.1192 0.0749
0.3009 0.1190 0.4251
0.6991 0.8810 0.5749
0.6988 0.8808 0.9251
0.7302 0.9167 0.2501
0.8299 0.2888 0.9222
0.8307 0.2891 0.5774
```

The 6 most intense peaks (10° ≤ 2θ ≤ 90°), sorted by position:
two_theta  d_spacing  I (rel.)
29.20  3.058  51
29.57  3.021  90
31.06  2.879  55
31.44  2.845  51
32.76  2.734  100
32.93  2.720  89

This entry pairs a crystal structure of Nd2Er12Tm5 with its simulated PXRD pattern. Radiation: Cu Kα X-rays. Structure: a crystal structure in Alexandria, relaxed with GGA-PBE.

```
Nd2Er12Tm5
1.0
6.2452 0.0000 0.0000
0.2267 9.1201 0.0000
1.1776 0.5062 10.4089
Nd Er Tm
2 12 5
direct
0.0516 0.0071 0.1571
0.9484 0.9929 0.8429
0.0096 0.6732 0.3935
0.0970 0.3299 0.9416
0.1406 0.6396 0.7409
0.3352 0.2029 0.3520
0.4227 0.8306 0.9488
0.4819 0.1683 0.7210
0.5181 0.8317 0.2790
0.5773 0.1694 0.0512
0.6649 0.7971 0.6480
0.8594 0.3604 0.2591
0.9030 0.6701 0.0584
0.9904 0.3268 0.6065
0.2140 0.9426 0.5572
0.3787 0.5090 0.1577
0.5000 0.5000 0.5000
0.6213 0.4910 0.8423
0.7860 0.0574 0.4428
```

The 6 most intense peaks (10° ≤ 2θ ≤ 90°), sorted by position:
two_theta  d_spacing  I (rel.)
29.58  3.020  37
31.65  2.827  65
32.58  2.748  100
32.76  2.734  52
33.00  2.715  48
49.91  1.827  18

This entry pairs a crystal structure of Nd12Er2Tm5 with its simulated PXRD pattern. Radiation: Cu Kα X-rays. Structure: a crystal structure in Alexandria, relaxed with GGA-PBE.

```
Nd12Er2Tm5
1.0
7.9487 -4.6471 0.0000
7.9487 4.6471 0.0000
-0.2397 0.0000 8.7103
Nd Er Tm
12 2 5
direct
0.0623 0.0623 0.3418
0.0687 0.6763 0.3243
0.1647 0.5297 0.7637
0.3237 0.9313 0.6757
0.4144 0.4144 0.1155
0.4703 0.8353 0.2363
0.5297 0.1647 0.7637
0.5856 0.5856 0.8845
0.6763 0.0687 0.3243
0.8353 0.4703 0.2363
0.9313 0.3237 0.6757
0.9377 0.9377 0.6582
0.1712 0.8288 0.0000
0.8288 0.1712 0.0000
0.1999 0.1999 0.0249
0.2696 0.2696 0.4315
0.5000 0.5000 0.5000
0.7304 0.7304 0.5685
0.8001 0.8001 0.9751
```

The 6 most intense peaks (10° ≤ 2θ ≤ 90°), sorted by position:
two_theta  d_spacing  I (rel.)
28.08  3.178  28
30.07  2.972  47
30.87  2.897  61
31.21  2.866  100
32.65  2.742  54
35.24  2.547  30

This entry pairs a crystal structure of Nd2Er4Tm with its simulated PXRD pattern. Radiation: Cu Kα X-rays. Structure: a crystal structure in Alexandria, relaxed with GGA-PBE.

```
Nd2Er4Tm
1.0
-5.7539 5.8577 3.3515
5.7539 -5.8577 3.3515
5.7539 5.8577 -3.3515
Nd Er Tm
4 8 2
direct
0.0000 0.0000 0.0000
0.0000 0.5000 0.5000
0.1079 0.1362 0.4717
0.6645 0.6362 0.5283
0.2221 0.4754 0.2467
0.2288 0.9754 0.7533
0.3634 0.0147 0.3448
0.3634 0.5186 0.8486
0.6682 0.9195 0.2488
0.6700 0.0186 0.6552
0.6700 0.5147 0.1514
0.6707 0.4195 0.7512
0.1128 0.6377 0.9751
0.6626 0.1377 0.0249
```

The 6 most intense peaks (10° ≤ 2θ ≤ 90°), sorted by position:
two_theta  d_spacing  I (rel.)
30.72  2.910  100
30.88  2.896  44
31.09  2.877  56
34.36  2.610  32
34.55  2.596  49
57.28  1.608  23